The following is a calculated XRD peak list of Rb3DyO3. It was derived from a structure optimized by DFT (PBE), using Cu Kα X-rays.
Lines closer than 0.1° are merged.

Crystal structure
Lattice parameters (Å, degrees): 8.015 7.394 11.764 90.00 94.02 90.00
Element x y z (fractional)
Rb 0.069 0.122 0.155
Rb 0.069 0.378 0.655
Rb 0.358 0.168 0.921
Rb 0.358 0.332 0.421
Rb 0.376 0.696 0.808
Rb 0.376 0.804 0.308
Rb 0.624 0.196 0.692
Rb 0.624 0.304 0.192
Rb 0.642 0.668 0.579
Rb 0.642 0.832 0.079
Rb 0.931 0.622 0.345
Rb 0.931 0.878 0.845
Dy 0.162 0.589 0.067
Dy 0.162 0.911 0.567
Dy 0.838 0.089 0.433
Dy 0.838 0.411 0.933
O 0.107 0.051 0.404
O 0.107 0.449 0.904
O 0.254 0.644 0.543
O 0.254 0.856 0.043
O 0.311 0.059 0.689
O 0.311 0.441 0.189
O 0.689 0.559 0.811
O 0.689 0.941 0.311
O 0.746 0.144 0.957
O 0.746 0.356 0.457
O 0.893 0.551 0.096
O 0.893 0.949 0.596

Top 10 peaks for 10 to 80 degrees two-theta, by angle:
2θ 14.16, d 6.256, rel. 14, (0 1 1); 2θ 17.67, d 5.019, rel. 13, (1 1 -1); 2θ 26.06, d 3.419, rel. 15, (2 0 -2); 2θ 27.46, d 3.248, rel. 29, (1 1 -3); 2θ 27.87, d 3.201, rel. 100, (2 0 2); 2θ 28.78, d 3.102, rel. 32, (2 1 -2); 2θ 32.84, d 2.727, rel. 33, (0 1 4); 2θ 36.14, d 2.486, rel. 15, (3 1 -1); 2θ 42.69, d 2.118, rel. 10, (1 1 5); 2θ 49.31, d 1.848, rel. 13, (3 2 3)